No. 1
For NaSbSeN2, a PBE-relaxed structure gives the computed X-ray powder pattern in this record (Cu Kα).
Neutral-atom scattering factors, no anomalous dispersion.

Structural model:
abc: 4.182 4.182 5.493
angles: 90.00 90.00 90.00
Space group P4/mmm (No. 123)
Inequivalent atoms, fractional coordinates:
Na  0.000  0.000  0.000
Sb  0.500  0.500  0.500
Se  0.500  0.500  0.000
N  0.000  0.500  0.500

Peak list (10 most intense, 2θ from 5° to 70°, by angle)
(1 0 0), 2θ 21.2, I = 100; (1 0 1), 2θ 26.8, I = 16; (1 1 0), 2θ 30.2, I = 51; (0 0 2), 2θ 32.6, I = 35; (1 0 2), 2θ 39.2, I = 40; (2 0 0), 2θ 43.3, I = 31; (1 1 2), 2θ 45.1, I = 35; (2 1 0), 2θ 48.7, I = 22; (2 0 2), 2θ 55.2, I = 29; (2 1 2), 2θ 59.8, I = 23

---

No. 2
For Na5Se3N2, a PBE-relaxed structure gives the computed X-ray powder pattern in this record (Cu Kα).
Neutral-atom scattering factors, no anomalous dispersion.

Structural model:
abc: 7.079 8.029 8.829
angles: 86.51 88.58 69.51
Space group P-1 (No. 2)
Inequivalent atoms, fractional coordinates:
Na  0.001  0.261  0.032
Na  0.033  0.613  0.358
Na  0.203  0.060  0.449
Na  0.327  0.943  0.048
Na  0.489  0.700  0.751
Se  0.054  0.014  0.764
Se  0.298  0.406  0.875
Se  0.451  0.295  0.608
N  0.267  0.337  0.464
N  0.348  0.246  0.033

Peak list (10 most intense, 2θ from 5° to 70°, by angle)
(1 0 1), 2θ 16.7, I = 49; (1 -1 0), 2θ 20.7, I = 82; (1 2 0), 2θ 22.8, I = 100; (1 1 2), 2θ 24.3, I = 49; (2 1 1), 2θ 27.0, I = 35; (2 2 0), 2θ 29.0, I = 33; (1 1 3), 2θ 33.1, I = 38; (1 1 -3), 2θ 34.5, I = 28; (0 2 3), 2θ 37.8, I = 29; (-2 1 2), 2θ 38.8, I = 32

---

No. 3
For Na2SiN2, a PBE-relaxed structure gives the computed X-ray powder pattern in this record (Cu Kα).
Neutral-atom scattering factors, no anomalous dispersion.

Structural model:
abc: 9.447 5.555 4.890
angles: 90.00 90.00 90.00
Space group Pbcn (No. 60)
Inequivalent atoms, fractional coordinates:
Na  0.158  0.111  0.055
Si  0.000  0.493  0.750
N  0.092  0.326  0.497

Peak list (10 most intense, 2θ from 5° to 70°, by angle)
(1 1 0), 2θ 18.5, I = 49; (2 0 0), 2θ 18.8, I = 27; (3 1 0), 2θ 32.7, I = 100; (1 0 2), 2θ 38.0, I = 15; (1 2 1), 2θ 38.5, I = 77; (1 1 2), 2θ 41.5, I = 29; (4 1 1), 2θ 45.7, I = 26; (2 2 2), 2θ 53.6, I = 15; (4 0 2), 2θ 54.0, I = 26; (2 3 1), 2θ 56.6, I = 17